Entry 1:
This entry pairs a crystal structure of Mg6CrCu with its theoretical X-ray diffraction stick pattern. Radiation: Cu Kα (λ = 1.5418 Å). Structure: a cell relaxed with PBE.

Crystal structure
```
Mg6CrCu
1.0
4.907 0.000 0.000
0.000 3.066 5.266
0.000 -3.066 5.266
Mg Cr Cu
6 1 1
Cartesian
0.000 0.000 0.000
0.000 -1.538 7.817
0.000 0.000 5.258
0.000 1.538 7.817
2.454 -1.523 4.347
2.454 1.523 4.347
2.454 0.000 6.974
2.454 0.000 1.714
```

Top 12 peaks for 10 to 90 degrees two-theta, in order of falling intensity:
2θ = 38.6°, I 100.0; 2θ = 38.8°, I 49.2; 2θ = 36.6°, I 38.1; 2θ = 33.8°, I 28.6; 2θ = 16.8°, I 19.8; 2θ = 67.3°, I 17.4; 2θ = 73.1°, I 17.3; 2θ = 50.7°, I 17.0; 2θ = 60.8°, I 15.7; 2θ = 18.1°, I 15.0; 2θ = 34.1°, I 14.0; 2θ = 24.8°, I 13.9



Entry 2:
This entry pairs a crystal structure of Mg14CrCu with its theoretical X-ray diffraction stick pattern. Radiation: Cu Kα (λ = 1.5418 Å). Structure: a cell relaxed with PBE.

Crystal structure
```
Mg14CrCu
1.0
9.997 0.000 0.000
0.000 3.133 5.408
0.000 -3.133 5.408
Mg Cr Cu
14 1 1
Cartesian
0.000 0.000 10.816
0.000 -1.569 2.727
0.000 0.000 5.408
0.000 1.569 2.727
2.518 0.000 1.789
2.559 0.000 7.193
2.636 -1.557 4.560
2.636 1.557 4.560
4.998 -1.543 2.694
4.998 1.543 2.694
7.360 -1.557 4.560
7.360 1.557 4.560
7.438 0.000 7.193
7.479 0.000 1.789
4.998 0.000 0.027
4.998 0.000 5.418
```

Top 12 peaks for 10 to 90 degrees two-theta, in order of falling intensity:
2θ = 37.8°, I 100.0; 2θ = 33.1°, I 25.9; 2θ = 35.9°, I 25.0; 2θ = 65.8°, I 16.9; 2θ = 49.6°, I 15.4; 2θ = 71.2°, I 11.9; 2θ = 59.1°, I 11.1; 2θ = 72.2°, I 8.7; 2θ = 18.7°, I 7.0; 2θ = 71.0°, I 6.0; 2θ = 59.0°, I 5.6; 2θ = 16.4°, I 5.1



Entry 3:
This entry pairs a crystal structure of MgCr4Cu2S8 with its theoretical X-ray diffraction stick pattern. Radiation: Cu Kα (λ = 1.5418 Å). Structure: a cell relaxed with PBE.

Crystal structure
```
MgCr4Cu2S8
1.0
7.043 -3.390 0.000
7.043 3.390 0.000
-3.257 0.000 5.947
Mg Cr Cu S
1 4 2 8
Cartesian
0.000 0.000 0.000
1.756 1.623 4.829
1.186 0.000 2.664
-0.375 0.000 5.514
1.756 -1.623 4.829
5.420 0.000 2.977
9.748 0.000 1.486
6.794 1.805 3.731
4.909 0.000 0.629
3.171 0.000 3.801
8.697 1.891 0.908
11.710 0.000 0.401
9.896 0.000 3.723
6.794 -1.805 3.731
8.697 -1.891 0.908
```

Top 12 peaks for 10 to 90 degrees two-theta, in order of falling intensity:
2θ = 23.5°, I 100.0; 2θ = 25.3°, I 98.9; 2θ = 14.3°, I 97.9; 2θ = 30.4°, I 93.0; 2θ = 48.1°, I 86.4; 2θ = 54.1°, I 61.7; 2θ = 49.0°, I 55.3; 2θ = 37.5°, I 46.3; 2θ = 47.5°, I 43.7; 2θ = 40.4°, I 41.2; 2θ = 26.3°, I 40.0; 2θ = 39.5°, I 37.4



Entry 4:
This entry pairs a crystal structure of MgCr4Cu2S8 with its theoretical X-ray diffraction stick pattern. Radiation: Cu Kα (λ = 1.5418 Å). Structure: a cell relaxed with PBE.

Crystal structure
```
MgCr4Cu2S8
1.0
6.070 -3.504 0.000
6.070 3.504 0.000
-4.047 0.000 5.971
Mg Cr Cu S
1 4 2 8
Cartesian
0.000 0.000 0.000
3.034 1.751 0.001
3.034 -1.751 0.001
2.023 0.000 5.970
4.046 0.000 2.986
-0.002 0.000 2.527
8.083 0.000 3.444
2.146 0.000 1.454
4.996 1.646 1.454
-0.001 0.000 4.733
3.095 1.646 4.518
4.996 -1.646 1.454
8.093 0.000 1.238
3.095 -1.646 4.518
5.945 0.000 4.518
```

Top 12 peaks for 10 to 90 degrees two-theta, in order of falling intensity:
2θ = 35.7°, I 100.0; 2θ = 29.6°, I 89.8; 2θ = 52.2°, I 89.8; 2θ = 50.7°, I 82.6; 2θ = 29.9°, I 56.3; 2θ = 25.4°, I 50.8; 2θ = 46.4°, I 36.1; 2θ = 47.4°, I 24.1; 2θ = 24.7°, I 22.3; 2θ = 75.7°, I 22.2; 2θ = 28.9°, I 21.7; 2θ = 47.0°, I 19.6



Entry 5:
This entry pairs a crystal structure of MgCr4Cu2S8 with its theoretical X-ray diffraction stick pattern. Radiation: Cu Kα (λ = 1.5418 Å). Structure: a cell relaxed with PBE.

Crystal structure
```
MgCr4Cu2S8
1.0
7.035 0.000 0.000
-3.371 6.183 0.000
-3.434 -2.129 5.922
Mg Cr Cu S
1 4 2 8
Cartesian
0.000 0.000 0.000
-3.430 4.100 5.578
-1.665 1.019 5.603
3.523 2.108 2.641
1.820 1.091 5.579
-0.779 0.952 2.690
0.043 4.209 3.227
-0.002 4.216 0.955
-1.759 3.010 4.134
1.822 1.224 1.124
0.121 -0.031 4.353
5.056 1.218 0.929
3.497 4.012 1.113
1.934 3.072 4.179
3.562 0.164 4.152
```

Top 12 peaks for 10 to 90 degrees two-theta, in order of falling intensity:
2θ = 35.2°, I 100.0; 2θ = 36.3°, I 83.5; 2θ = 29.3°, I 78.7; 2θ = 50.9°, I 67.8; 2θ = 52.0°, I 54.5; 2θ = 29.1°, I 40.5; 2θ = 50.4°, I 40.2; 2θ = 46.4°, I 35.6; 2θ = 46.0°, I 34.7; 2θ = 24.8°, I 31.0; 2θ = 29.8°, I 30.3; 2θ = 15.2°, I 29.6



Entry 6:
This entry pairs a crystal structure of MgCrCu3Se4 with its theoretical X-ray diffraction stick pattern. Radiation: Cu Kα (λ = 1.5418 Å). Structure: a cell relaxed with PBE.

Crystal structure
```
MgCrCu3Se4
1.0
5.772 0.000 0.000
0.000 5.772 0.000
0.000 0.000 5.772
Mg Cr Cu Se
1 1 3 4
Cartesian
0.000 0.000 0.000
2.886 2.886 2.886
0.000 2.886 2.886
2.886 0.000 2.886
2.886 2.886 0.000
1.488 1.488 4.284
1.488 4.284 1.488
4.284 1.488 1.488
4.284 4.284 4.284
```

Top 12 peaks for 10 to 90 degrees two-theta, in order of falling intensity:
2θ = 44.4°, I 100.0; 2θ = 26.8°, I 99.1; 2θ = 52.6°, I 43.5; 2θ = 81.7°, I 30.5; 2θ = 15.4°, I 27.0; 2θ = 71.2°, I 16.9; 2θ = 64.6°, I 15.3; 2θ = 87.9°, I 13.0; 2θ = 34.8°, I 7.5; 2θ = 47.2°, I 6.0; 2θ = 57.6°, I 4.9; 2θ = 66.8°, I 2.1